Entry 1:
This entry pairs a crystal structure of CaMg14Cd with its computed powder XRD pattern. Radiation: Cu Kα. Structure: a DFT-relaxed cell (PBE, the Materials Project).

Cell and atoms:
a = 6.4526 Å, b = 6.4526 Å, c = 10.4986 Å
α = 90.00°, β = 90.00°, γ = 120.00°
Space group P-6m2 (No. 187)
Symmetry-distinct sites (fractional):
Ca  0.0000  0.0000  0.0000 (multiplicity 1)
Mg  0.0087  0.5043  0.0000 (multiplicity 3)
Mg  0.1679  0.3359  0.2577 (multiplicity 6)
Mg  0.5016  0.0032  0.5000 (multiplicity 3)
Mg  0.6667  0.3333  0.2458 (multiplicity 2)
Cd  0.0000  0.0000  0.5000 (multiplicity 1)

Peak list (8 most intense, 10 to 90 degrees two-theta, by angle)
hkl  Position (°2θ)  d (Å)  I/Imax
1 0 0  15.9  5.588  21
1 0 2  23.2  3.826  18
2 0 0  32.0  2.794  27
0 0 4  34.2  2.625  26
2 0 2  36.4  2.466  100
2 2 0  57.1  1.613  17
2 0 6  62.6  1.483  19
2 2 4  68.2  1.374  19

---

Entry 2:
This entry pairs a crystal structure of Lu2Ga5Ni12 with its computed powder XRD pattern. Radiation: Cu Kα. Structure: a DFT-relaxed cell (PBE, the Materials Project).

Cell and atoms:
a = 8.3833 Å, b = 8.3833 Å, c = 8.2888 Å
α = 90.00°, β = 90.00°, γ = 120.00°
Space group P6_3/mmc (No. 194)
Symmetry-distinct sites (fractional):
Lu  0.0000  0.0000  0.2500 (multiplicity 2)
Lu  0.3333  0.6667  0.2500 (multiplicity 2)
Ga  0.0000  0.5000  0.0000 (multiplicity 6)
Ga  0.3333  0.6667  0.6058 (multiplicity 4)
Ni  0.0266  0.3520  0.7500 (multiplicity 12)
Ni  0.1662  0.3324  0.0145 (multiplicity 12)

Peak list (8 most intense, 10 to 90 degrees two-theta, by angle)
hkl  Position (°2θ)  d (Å)  I/Imax
1 1 2  30.3  2.947  35
3 0 0  37.2  2.420  43
2 0 3  41.1  2.199  27
2 2 0  43.2  2.096  56
3 0 2  43.3  2.090  100
0 0 4  43.7  2.072  30
6 0 0  79.2  1.210  20
3 0 6  80.0  1.200  20

---

Q: Which formula does entry 1 have?
A: CaMg14Cd

---

Please write out number 1 again, unchanged.
This entry pairs a crystal structure of CaMg14Cd with its computed powder XRD pattern. Radiation: Cu Kα. Structure: a DFT-relaxed cell (PBE, the Materials Project).

Cell and atoms:
a = 6.4526 Å, b = 6.4526 Å, c = 10.4986 Å
α = 90.00°, β = 90.00°, γ = 120.00°
Space group P-6m2 (No. 187)
Symmetry-distinct sites (fractional):
Ca  0.0000  0.0000  0.0000 (multiplicity 1)
Mg  0.0087  0.5043  0.0000 (multiplicity 3)
Mg  0.1679  0.3359  0.2577 (multiplicity 6)
Mg  0.5016  0.0032  0.5000 (multiplicity 3)
Mg  0.6667  0.3333  0.2458 (multiplicity 2)
Cd  0.0000  0.0000  0.5000 (multiplicity 1)

Peak list (8 most intense, 10 to 90 degrees two-theta, by angle)
hkl  Position (°2θ)  d (Å)  I/Imax
1 0 0  15.9  5.588  21
1 0 2  23.2  3.826  18
2 0 0  32.0  2.794  27
0 0 4  34.2  2.625  26
2 0 2  36.4  2.466  100
2 2 0  57.1  1.613  17
2 0 6  62.6  1.483  19
2 2 4  68.2  1.374  19